Starting from a structure optimized by DFT (GGA+U), the X-ray powder pattern of K4MgV6O16 was calculated for Cu Kα (λ = 1.5418 Å).

Crystal structure
Unit cell a=5.498 b=8.984 c=9.114 alpha=86.09 beta=88.91 gamma=84.38
Positions (direct):
K 0.000 0.000 0.000
K 0.011 0.157 0.433
K 0.924 0.529 0.199
K 0.975 0.461 0.772
Mg 0.970 0.753 0.456
V 0.404 0.640 0.978
V 0.422 0.781 0.624
V 0.437 0.429 0.477
V 0.440 0.882 0.267
V 0.458 0.262 0.123
V 0.512 0.146 0.751
O 0.249 0.879 0.460
O 0.269 0.600 0.521
O 0.273 0.706 0.805
O 0.308 0.757 0.123
O 0.316 0.458 0.023
O 0.338 0.089 0.212
O 0.345 0.367 0.314
O 0.361 0.292 0.622
O 0.412 0.178 0.929
O 0.430 0.975 0.706
O 0.707 0.631 0.961
O 0.727 0.726 0.615
O 0.739 0.441 0.471
O 0.762 0.261 0.134
O 0.766 0.826 0.292
O 0.815 0.154 0.738

Largest 10 diffraction maxima, low angle first, 2θ = 10–90°:
- 16.20°, d = 5.471 Å, intensity 100, hkl 1 0 0
- 21.60°, d = 4.114 Å, intensity 45, hkl 0 2 1
- 26.15°, d = 3.408 Å, intensity 57, hkl 1 1 2
- 26.99°, d = 3.303 Å, intensity 68, hkl 1 2 -1
- 27.44°, d = 3.250 Å, intensity 43, hkl 1 1 -2
- 27.65°, d = 3.227 Å, intensity 59, hkl -1 1 2
- 28.32°, d = 3.151 Å, intensity 58, hkl 1 -1 2
- 29.14°, d = 3.064 Å, intensity 52, hkl 1 -2 1
- 31.81°, d = 2.813 Å, intensity 43, hkl 0 1 -3
- 32.74°, d = 2.735 Å, intensity 61, hkl 2 0 0